For SmZn4Au12, a DFT-relaxed cell (GGA-PBE, Alexandria) gives the theoretical powder X-ray diffraction pattern in this record (Cu Kα (λ = 1.5418 Å)).
Peak positions follow from Bragg's law for the DFT cell and can differ from measured ones.

```
SmZn4Au12
1.0
-4.465 4.465 4.465
4.465 -4.465 4.465
4.465 4.465 -4.465
Sm Zn Au
1 4 12
direct
0.000 0.000 0.000
0.000 0.000 0.500
0.000 0.500 0.000
0.500 0.000 0.000
0.500 0.500 0.500
0.154 0.497 0.343
0.154 0.811 0.657
0.189 0.343 0.846
0.343 0.154 0.497
0.343 0.846 0.189
0.497 0.343 0.154
0.503 0.657 0.846
0.657 0.154 0.811
0.657 0.846 0.503
0.811 0.657 0.154
0.846 0.189 0.343
0.846 0.503 0.657
```

Principal peaks in the range 5° ≤ 2θ ≤ 70°, sorted by position:
- 31.69 deg, 2.824 Å, rel. 100
- 37.69 deg, 2.387 Å, rel. 39
- 42.97 deg, 2.105 Å, rel. 5
- 45.42 deg, 1.997 Å, rel. 13
- 47.77 deg, 1.904 Å, rel. 6
- 50.04 deg, 1.823 Å, rel. 15
- 52.23 deg, 1.751 Å, rel. 32
- 60.45 deg, 1.531 Å, rel. 12
- 62.40 deg, 1.488 Å, rel. 13
- 64.31 deg, 1.449 Å, rel. 3

For Sm3Zn8Au3, a DFT-relaxed cell (GGA-PBE, Alexandria) gives the theoretical powder X-ray diffraction pattern in this record (Cu Kα (λ = 1.5418 Å)).
Peak positions follow from Bragg's law for the DFT cell and can differ from measured ones.

```
Sm3Zn8Au3
1.0
-2.189 4.604 6.644
2.189 -4.604 6.644
2.189 4.604 -6.644
Sm Zn Au
3 8 3
direct
0.000 0.000 0.000
0.312 0.312 0.000
0.688 0.688 0.000
0.039 0.676 0.363
0.143 0.866 0.276
0.313 0.676 0.637
0.410 0.134 0.276
0.590 0.866 0.724
0.687 0.324 0.363
0.857 0.134 0.724
0.961 0.324 0.637
0.271 0.500 0.771
0.500 0.000 0.500
0.729 0.500 0.229
```

Principal peaks in the range 5° ≤ 2θ ≤ 70°, sorted by position:
- 13.33 deg, 6.644 Å, rel. 17
- 28.93 deg, 3.086 Å, rel. 24
- 34.78 deg, 2.579 Å, rel. 100
- 38.29 deg, 2.351 Å, rel. 18
- 39.13 deg, 2.302 Å, rel. 12
- 40.74 deg, 2.215 Å, rel. 20
- 41.24 deg, 2.189 Å, rel. 29
- 44.47 deg, 2.037 Å, rel. 14
- 59.36 deg, 1.557 Å, rel. 13
- 68.12 deg, 1.377 Å, rel. 13

For Sm4ZnAu2, a DFT-relaxed cell (GGA-PBE, Alexandria) gives the theoretical powder X-ray diffraction pattern in this record (Cu Kα (λ = 1.5418 Å)).
Peak positions follow from Bragg's law for the DFT cell and can differ from measured ones.

```
Sm4ZnAu2
1.0
2.574 1.486 8.319
-2.574 1.486 8.319
0.000 -2.972 8.319
Sm Zn Au
4 1 2
direct
0.123 0.123 0.123
0.374 0.374 0.374
0.626 0.626 0.626
0.877 0.877 0.877
0.500 0.500 0.500
0.250 0.250 0.250
0.750 0.750 0.750
```

Principal peaks in the range 5° ≤ 2θ ≤ 70°, sorted by position:
- 21.17 deg, 4.198 Å, rel. 31
- 21.36 deg, 4.160 Å, rel. 11
- 34.86 deg, 2.574 Å, rel. 100
- 35.11 deg, 2.556 Å, rel. 98
- 41.14 deg, 2.194 Å, rel. 6
- 41.25 deg, 2.189 Å, rel. 13
- 50.31 deg, 1.814 Å, rel. 35
- 62.51 deg, 1.486 Å, rel. 18
- 62.67 deg, 1.482 Å, rel. 37
- 63.15 deg, 1.472 Å, rel. 18

For Sn9Au4, a DFT-relaxed cell (GGA-PBE, Alexandria) gives the theoretical powder X-ray diffraction pattern in this record (Cu Kα (λ = 1.5418 Å)).
Peak positions follow from Bragg's law for the DFT cell and can differ from measured ones.

```
Sn9Au4
1.0
5.999 -7.791 0.000
5.999 7.791 0.000
-5.245 0.000 7.052
Sn Au
18 8
direct
0.000 0.000 0.000
0.047 0.809 0.318
0.177 0.177 0.444
0.186 0.549 0.266
0.193 0.831 0.734
0.258 0.258 0.939
0.354 0.580 0.668
0.379 0.640 0.060
0.473 0.915 0.464
0.549 0.186 0.266
0.580 0.354 0.668
0.600 0.972 0.892
0.640 0.379 0.060
0.659 0.659 0.501
0.809 0.047 0.318
0.831 0.193 0.734
0.915 0.473 0.464
0.972 0.600 0.892
0.092 0.369 0.698
0.270 0.896 0.105
0.356 0.356 0.325
0.369 0.092 0.698
0.710 0.710 0.211
0.710 0.710 0.871
0.896 0.270 0.105
0.953 0.953 0.636
```

Principal peaks in the range 5° ≤ 2θ ≤ 70°, sorted by position:
- 29.50 deg, 3.028 Å, rel. 41
- 30.48 deg, 2.932 Å, rel. 60
- 30.80 deg, 2.903 Å, rel. 100
- 31.30 deg, 2.858 Å, rel. 89
- 34.54 deg, 2.597 Å, rel. 48
- 35.81 deg, 2.507 Å, rel. 36
- 36.32 deg, 2.474 Å, rel. 49
- 40.34 deg, 2.236 Å, rel. 45
- 41.22 deg, 2.190 Å, rel. 42
- 42.81 deg, 2.112 Å, rel. 28

For Sn3Au8, a DFT-relaxed cell (GGA-PBE, Alexandria) gives the theoretical powder X-ray diffraction pattern in this record (Cu Kα (λ = 1.5418 Å)).
Peak positions follow from Bragg's law for the DFT cell and can differ from measured ones.

```
Sn3Au8
1.0
5.272 3.044 2.531
-5.272 3.044 2.531
0.000 -6.088 2.531
Sn Au
3 8
direct
0.000 0.500 0.500
0.500 0.000 0.500
0.500 0.500 0.000
0.036 0.861 0.329
0.139 0.671 0.964
0.315 0.315 0.315
0.329 0.036 0.861
0.671 0.964 0.139
0.685 0.685 0.685
0.861 0.329 0.036
0.964 0.139 0.671
```

Principal peaks in the range 5° ≤ 2θ ≤ 70°, sorted by position:
- 28.41 deg, 3.142 Å, rel. 53
- 34.01 deg, 2.636 Å, rel. 14
- 35.14 deg, 2.554 Å, rel. 100
- 37.43 deg, 2.402 Å, rel. 16
- 39.50 deg, 2.281 Å, rel. 29
- 41.30 deg, 2.186 Å, rel. 26
- 44.89 deg, 2.019 Å, rel. 26
- 45.52 deg, 1.993 Å, rel. 37
- 49.96 deg, 1.826 Å, rel. 18
- 55.23 deg, 1.663 Å, rel. 15

For Sn3Au7, a DFT-relaxed cell (GGA-PBE, Alexandria) gives the theoretical powder X-ray diffraction pattern in this record (Cu Kα (λ = 1.5418 Å)).
Peak positions follow from Bragg's law for the DFT cell and can differ from measured ones.

```
Sn3Au7
1.0
9.724 -1.945 0.000
9.724 1.945 0.000
-1.596 0.000 5.506
Sn Au
3 7
direct
0.000 0.000 0.000
0.204 0.204 0.704
0.796 0.796 0.296
0.000 0.000 0.500
0.184 0.184 0.187
0.402 0.402 0.160
0.406 0.406 0.653
0.594 0.594 0.347
0.598 0.598 0.840
0.816 0.816 0.813
```

Principal peaks in the range 5° ≤ 2θ ≤ 70°, sorted by position:
- 33.25 deg, 2.695 Å, rel. 100
- 36.51 deg, 2.461 Å, rel. 13
- 37.08 deg, 2.424 Å, rel. 12
- 39.28 deg, 2.294 Å, rel. 32
- 39.41 deg, 2.286 Å, rel. 32
- 42.51 deg, 2.127 Å, rel. 17
- 43.27 deg, 2.091 Å, rel. 16
- 46.69 deg, 1.945 Å, rel. 21
- 48.75 deg, 1.868 Å, rel. 14
- 69.80 deg, 1.347 Å, rel. 10

For Sn2Au7, a DFT-relaxed cell (GGA-PBE, Alexandria) gives the theoretical powder X-ray diffraction pattern in this record (Cu Kα (λ = 1.5418 Å)).
Peak positions follow from Bragg's law for the DFT cell and can differ from measured ones.

```
Sn2Au7
1.0
2.810 1.622 14.041
-2.810 1.622 14.041
0.000 -3.245 14.041
Sn Au
4 14
direct
0.051 0.051 0.051
0.139 0.139 0.139
0.861 0.861 0.861
0.949 0.949 0.949
0.000 0.500 0.500
0.109 0.614 0.614
0.277 0.277 0.277
0.386 0.386 0.891
0.386 0.891 0.386
0.389 0.389 0.389
0.500 0.000 0.500
0.500 0.500 0.000
0.500 0.500 0.500
0.611 0.611 0.611
0.614 0.109 0.614
0.614 0.614 0.109
0.723 0.723 0.723
0.891 0.386 0.386
```

Principal peaks in the range 5° ≤ 2θ ≤ 70°, sorted by position:
- 18.35 deg, 4.835 Å, rel. 38
- 31.85 deg, 2.810 Å, rel. 21
- 37.00 deg, 2.430 Å, rel. 27
- 37.32 deg, 2.409 Å, rel. 100
- 38.48 deg, 2.340 Å, rel. 42
- 40.85 deg, 2.209 Å, rel. 67
- 42.92 deg, 2.107 Å, rel. 25
- 60.38 deg, 1.533 Å, rel. 25
- 66.55 deg, 1.405 Å, rel. 32
- 68.83 deg, 1.364 Å, rel. 16

For Sn2Au, a DFT-relaxed cell (GGA-PBE, Alexandria) gives the theoretical powder X-ray diffraction pattern in this record (Cu Kα (λ = 1.5418 Å)).
Peak positions follow from Bragg's law for the DFT cell and can differ from measured ones.

```
Sn2Au
1.0
5.790 0.000 0.000
0.000 6.930 0.000
0.000 0.000 3.923
Sn Au
4 2
direct
0.198 0.135 0.000
0.302 0.635 0.500
0.698 0.365 0.500
0.802 0.865 0.000
0.000 0.500 0.000
0.500 0.000 0.500
```

Principal peaks in the range 5° ≤ 2θ ≤ 70°, sorted by position:
- 19.98 deg, 4.443 Å, rel. 59
- 27.46 deg, 3.248 Å, rel. 100
- 30.06 deg, 2.973 Å, rel. 54
- 30.39 deg, 2.941 Å, rel. 60
- 37.97 deg, 2.370 Å, rel. 40
- 40.87 deg, 2.208 Å, rel. 98
- 42.12 deg, 2.145 Å, rel. 29
- 45.57 deg, 1.991 Å, rel. 54
- 46.28 deg, 1.962 Å, rel. 32
- 49.00 deg, 1.859 Å, rel. 31

For Sn3Au, a DFT-relaxed cell (GGA-PBE, Alexandria) gives the theoretical powder X-ray diffraction pattern in this record (Cu Kα (λ = 1.5418 Å)).
Peak positions follow from Bragg's law for the DFT cell and can differ from measured ones.

```
Sn3Au
1.0
-5.916 5.916 2.873
5.916 -5.916 2.873
5.916 5.916 -2.873
Sn Au
12 4
direct
0.000 0.361 0.361
0.000 0.639 0.639
0.077 0.077 0.595
0.137 0.327 0.000
0.327 0.137 0.000
0.361 0.000 0.361
0.481 0.481 0.405
0.519 0.923 0.000
0.639 0.000 0.639
0.673 0.673 0.810
0.863 0.863 0.190
0.923 0.519 0.000
0.208 0.500 0.708
0.500 0.208 0.708
0.500 0.792 0.292
0.792 0.500 0.292
```

Principal peaks in the range 5° ≤ 2θ ≤ 70°, sorted by position:
- 22.85 deg, 3.892 Å, rel. 36
- 31.39 deg, 2.850 Å, rel. 82
- 32.10 deg, 2.789 Å, rel. 83
- 32.96 deg, 2.717 Å, rel. 74
- 33.88 deg, 2.646 Å, rel. 41
- 34.95 deg, 2.567 Å, rel. 100
- 37.99 deg, 2.368 Å, rel. 83
- 38.81 deg, 2.320 Å, rel. 39
- 44.13 deg, 2.052 Å, rel. 56
- 64.44 deg, 1.446 Å, rel. 32

For Sn3Au8, a DFT-relaxed cell (GGA-PBE, Alexandria) gives the theoretical powder X-ray diffraction pattern in this record (Cu Kα (λ = 1.5418 Å)).
Peak positions follow from Bragg's law for the DFT cell and can differ from measured ones.

```
Sn3Au8
1.0
4.761 0.000 0.000
1.799 4.429 0.000
0.371 -0.059 10.645
Sn Au
3 8
direct
0.000 0.000 0.000
0.435 0.435 0.347
0.565 0.565 0.653
0.085 0.086 0.273
0.187 0.186 0.547
0.275 0.271 0.815
0.354 0.358 0.083
0.646 0.642 0.917
0.725 0.729 0.185
0.813 0.814 0.453
0.915 0.914 0.727
```

Principal peaks in the range 5° ≤ 2θ ≤ 70°, sorted by position:
- 33.49 deg, 2.676 Å, rel. 74
- 33.65 deg, 2.663 Å, rel. 78
- 39.07 deg, 2.306 Å, rel. 51
- 39.40 deg, 2.287 Å, rel. 100
- 40.18 deg, 2.244 Å, rel. 47
- 47.83 deg, 1.902 Å, rel. 28
- 48.58 deg, 1.874 Å, rel. 27
- 63.50 deg, 1.465 Å, rel. 13
- 63.58 deg, 1.463 Å, rel. 13
- 65.18 deg, 1.431 Å, rel. 24

For Sn3Au5, a DFT-relaxed cell (GGA-PBE, Alexandria) gives the theoretical powder X-ray diffraction pattern in this record (Cu Kα (λ = 1.5418 Å)).
Peak positions follow from Bragg's law for the DFT cell and can differ from measured ones.

```
Sn3Au5
1.0
0.000 8.306 7.125
2.988 0.000 7.125
2.988 8.306 0.000
Sn Au
6 10
direct
0.000 0.000 0.000
0.250 0.250 0.250
0.387 0.660 0.271
0.568 0.979 0.590
0.660 0.387 0.682
0.979 0.568 0.863
0.011 0.806 0.368
0.213 0.483 0.978
0.272 0.924 0.037
0.435 0.882 0.444
0.480 0.480 0.520
0.483 0.213 0.326
0.730 0.730 0.770
0.806 0.011 0.815
0.882 0.435 0.239
0.924 0.272 0.767
```

Principal peaks in the range 5° ≤ 2θ ≤ 70°, sorted by position:
- 22.77 deg, 3.906 Å, rel. 87
- 32.49 deg, 2.756 Å, rel. 100
- 33.13 deg, 2.704 Å, rel. 51
- 34.76 deg, 2.581 Å, rel. 88
- 35.31 deg, 2.542 Å, rel. 48
- 38.59 deg, 2.333 Å, rel. 90
- 39.46 deg, 2.284 Å, rel. 41
- 44.60 deg, 2.031 Å, rel. 91
- 45.33 deg, 2.000 Å, rel. 37
- 49.95 deg, 1.826 Å, rel. 37

For SnAu, a DFT-relaxed cell (GGA-PBE, Alexandria) gives the theoretical powder X-ray diffraction pattern in this record (Cu Kα (λ = 1.5418 Å)).
Peak positions follow from Bragg's law for the DFT cell and can differ from measured ones.

```
SnAu
1.0
4.043 0.000 0.000
0.000 4.080 0.000
-1.384 0.000 5.529
Sn Au
2 2
direct
0.172 0.250 0.289
0.828 0.750 0.711
0.353 0.250 0.808
0.647 0.750 0.192
```

Principal peaks in the range 5° ≤ 2θ ≤ 70°, sorted by position:
- 31.64 deg, 2.828 Å, rel. 100
- 32.38 deg, 2.765 Å, rel. 44
- 32.96 deg, 2.718 Å, rel. 24
- 38.20 deg, 2.356 Å, rel. 34
- 39.37 deg, 2.289 Å, rel. 28
- 41.49 deg, 2.176 Å, rel. 49
- 44.41 deg, 2.040 Å, rel. 40
- 45.15 deg, 2.008 Å, rel. 20
- 50.04 deg, 1.823 Å, rel. 17
- 56.02 deg, 1.642 Å, rel. 19